For CrI7N6, a structure optimized by DFT (GGA-PBE) gives the simulated X-ray diffraction stick pattern in this record (copper Kα).
Neutral-atom scattering factors, no anomalous dispersion.

Principal peaks in the range 5° ≤ 2θ ≤ 70°, by angle:
2θ (°)  I_rel
14.5  100
23.5  14
24.5  18
28.0  12
29.3  24
31.7  21
32.2  11
32.6  9
34.7  15
41.0  12

Crystal structure
a b c (Å): 14.0587 12.2067 6.9868
angles (deg): 90.00 92.63 90.00
Space group C2/m (No. 12)
Inequivalent atoms, fractional coordinates:
Cr: 0.0000 0.0000 0.0000
I: 0.0000 0.5000 0.5000
I: 0.0808 0.0000 0.6536
I: 0.1733 0.5000 0.2813
I: 0.2446 0.0000 0.2138
N: 0.0280 0.2813 0.9459
N: 0.1172 0.0000 0.0959